Structure and theoretical PXRD pattern of Np4Ge16Os3 (a structure optimized by DFT (GGA-PBE); CuKα).

Cell and atoms:
Lattice parameters (Å, degrees): 6.1717 6.1717 11.1632 90.00 90.00 90.00
Space group P4/mmm (No. 123)
Unique sites:
Np  0.0000  0.5000  0.1883 (multiplicity 4)
Ge  0.0000  0.0000  0.2095 (multiplicity 2)
Ge  0.2152  0.2152  0.0000 (multiplicity 4)
Ge  0.2481  0.2481  0.3760 (multiplicity 8)
Ge  0.5000  0.5000  0.2284 (multiplicity 2)
Os  0.0000  0.5000  0.5000 (multiplicity 2)
Os  0.5000  0.5000  0.0000 (multiplicity 1)

Most intense lines, 2θ = 10–90°, by angle:
2θ (°)  I/Imax  (hkl)
20.3  41  1 1 0
31.6  71  1 1 3
37.9  100  2 0 3
41.4  76  2 2 0
53.0  32  3 1 3
73.1  26  4 2 3

***

Structure and theoretical PXRD pattern of NpGe2P2Pd7 (a structure optimized by DFT (GGA-PBE); CuKα).

Cell and atoms:
Lattice parameters (Å, degrees): 5.8411 5.7936 12.3394 90.00 98.03 90.00
Space group C2/m (No. 12)
Unique sites:
Np  0.0000  0.0000  0.0000 (multiplicity 2)
Ge  0.0537  0.0000  0.3414 (multiplicity 4)
P  0.0795  0.5000  0.2859 (multiplicity 4)
Pd  0.0000  0.5000  0.0000 (multiplicity 2)
Pd  0.1964  0.2486  0.8226 (multiplicity 8)
Pd  0.2292  0.5000  0.4728 (multiplicity 4)

Most intense lines, 2θ = 10–90°, by angle:
2θ (°)  I/Imax  (hkl)
34.3  96  0 2 2
35.5  100  2 0 -3
38.1  87  0 2 3
40.7  54  2 0 3
44.1  99  2 2 -1
44.5  46  0 0 6

***

Structure and theoretical PXRD pattern of NpGe2P2Pt7 (a structure optimized by DFT (GGA-PBE); CuKα).

Cell and atoms:
Lattice parameters (Å, degrees): 5.5467 5.4962 15.2763 90.00 100.06 90.00
Space group C2/m (No. 12)
Unique sites:
Np  0.0000  0.0000  0.0000 (multiplicity 2)
Ge  0.2401  0.0000  0.4325 (multiplicity 4)
P  0.1175  0.5000  0.2448 (multiplicity 4)
Pt  0.0000  0.5000  0.0000 (multiplicity 2)
Pt  0.1757  0.2499  0.8453 (multiplicity 8)
Pt  0.1812  0.5000  0.3979 (multiplicity 4)

Most intense lines, 2θ = 10–90°, by angle:
2θ (°)  I/Imax  (hkl)
29.7  55  0 0 5
34.8  52  0 2 2
36.9  50  2 0 2
37.2  45  2 0 -4
37.3  93  0 2 3
46.5  100  2 2 -1